1.
Diffraction record for Ac2CuTe2Se2. The powder diffractogram is simulated, not measured: it uses a DFT-relaxed cell (PBE, Alexandria) and copper Kα.
Peak positions follow from Bragg's law for the DFT cell and can differ from measured ones.

Main lines, most intense first (2θ = 10–80°):
d (Å)  two_theta  intensity
4.175  21.28  100
2.557  35.10  98
2.180  41.41  50
3.038  29.40  35
1.476  62.97  32
1.659  55.38  30

Crystal structure
abc: 5.113 5.113 12.528
angles: 90.00 90.00 120.00
Element x y z (fractional)
Ac1 0.333 0.667 0.160
Ac2 0.667 0.333 0.840
Cu1 0.000 0.000 0.500
Te1 0.000 0.000 0.307
Te2 0.000 0.000 0.693
Se1 0.333 0.667 0.910
Se2 0.667 0.333 0.090

=====

2.
Diffraction record for HfAg2Pd8. The powder diffractogram is simulated, not measured: it uses a DFT-relaxed cell (PBE, Alexandria) and copper Kα.
Peak positions follow from Bragg's law for the DFT cell and can differ from measured ones.

Main lines, most intense first (2θ = 10–80°):
d (Å)  two_theta  intensity
2.279  39.55  100
2.251  40.05  90
2.164  41.75  83
1.530  60.51  26
1.684  54.48  18
1.329  70.92  16

Crystal structure
abc: 6.738 6.738 4.326
angles: 90.00 90.00 105.47
Element x y z (fractional)
Hf1 0.000 0.000 0.000
Ag1 0.377 0.623 0.500
Ag2 0.623 0.377 0.500
Pd1 0.036 0.299 0.500
Pd2 0.241 0.759 0.000
Pd3 0.299 0.036 0.500
Pd4 0.327 0.327 0.000
Pd5 0.673 0.673 0.000
Pd6 0.701 0.964 0.500
Pd7 0.759 0.241 0.000
Pd8 0.964 0.701 0.500

=====

Copy entry 1 word for word.
Diffraction record for Ac2CuTe2Se2. The powder diffractogram is simulated, not measured: it uses a DFT-relaxed cell (PBE, Alexandria) and copper Kα.
Peak positions follow from Bragg's law for the DFT cell and can differ from measured ones.

Main lines, most intense first (2θ = 10–80°):
d (Å)  two_theta  intensity
4.175  21.28  100
2.557  35.10  98
2.180  41.41  50
3.038  29.40  35
1.476  62.97  32
1.659  55.38  30

Crystal structure
abc: 5.113 5.113 12.528
angles: 90.00 90.00 120.00
Element x y z (fractional)
Ac1 0.333 0.667 0.160
Ac2 0.667 0.333 0.840
Cu1 0.000 0.000 0.500
Te1 0.000 0.000 0.307
Te2 0.000 0.000 0.693
Se1 0.333 0.667 0.910
Se2 0.667 0.333 0.090